Tm2NpCd: computed powder X-ray diffraction pattern (Cu Kα (weighted mean of Kα1 and Kα2)), based on a DFT-relaxed cell (PBE, Alexandria).
Intensities are scaled so that the largest is 100.

Crystal structure
Lattice parameters (Å, degrees): 3.3463 3.3463 9.2938 90.00 90.00 90.00
Space group P4/mmm (No. 123)
Unique sites:
Tm1 0.0000 0.0000 0.2394 x2
Np1 0.5000 0.5000 0.5000 x1
Cd1 0.5000 0.5000 0.0000 x1

Peak list (10 most intense, 2θ = 10–80°, by angle)
2θ/deg  I_rel  hkl
28.35  6  1 0 1
32.99  100  1 0 2
38.03  34  1 1 0
38.76  16  0 0 4
48.41  3  1 1 3
54.87  12  2 0 0
55.42  22  1 1 4
65.53  28  2 1 2
66.52  12  1 0 6
69.19  12  2 0 4